(1)
This entry pairs a crystal structure of Na3PrU3Se8 with its computed powder diffraction line list. Radiation: Cu Kα (weighted mean of Kα1 and Kα2). Structure: the PBE geometry in Alexandria.

Top 10 peaks for 2θ = 5–70°, in order of rising 2θ:
12.59°, I = 71; 24.91°, I = 35; 29.90°, I = 100; 32.56°, I = 14; 38.86°, I = 18; 42.38°, I = 38; 43.21°, I = 37; 45.18°, I = 19; 53.43°, I = 19; 69.87°, I = 16

Structural model:
```
data_Na3PrU3Se8
_cell_length_a 14.508
_cell_length_b 8.375
_cell_length_c 8.534
_cell_angle_alpha 90.00
_cell_angle_beta 124.53
_cell_angle_gamma 90.00
_space_group_name_H-M_alt 'C 1 2/m 1'
_space_group_IT_number 12
loop_
_space_group_symop_operation_xyz
'x,y,z'
'-x,-y,-z'
'-x,y,-z'
'x,-y,z'
'x+1/2,y+1/2,z'
'-x+1/2,-y+1/2,-z'
'-x+1/2,y+1/2,-z'
'x+1/2,-y+1/2,z'
loop_
_atom_site_label
_atom_site_fract_x
_atom_site_fract_y
_atom_site_fract_z
Na1 0.000 0.000 0.000
Na2 0.250 0.250 0.000
Pr1 0.000 0.000 0.500
U1 0.000 0.500 0.500
U2 0.250 0.250 0.500
Se1 0.009 0.258 0.268
Se2 0.245 0.500 0.732
Se3 0.250 0.000 0.731
```

---

(2)
This entry pairs a crystal structure of NaPr2YSe4 with its computed powder diffraction line list. Radiation: Cu Kα (weighted mean of Kα1 and Kα2). Structure: the PBE geometry in Alexandria.

Top 10 peaks for 2θ = 5–70°, in order of rising 2θ:
12.84°, I = 13; 24.85°, I = 11; 30.04°, I = 100; 32.86°, I = 5; 42.76°, I = 12; 43.01°, I = 49; 43.17°, I = 12; 53.17°, I = 13; 53.51°, I = 13; 62.39°, I = 8

Structural model:
```
data_NaPr2YSe4
_cell_length_a 7.291
_cell_length_b 4.191
_cell_length_c 7.295
_cell_angle_alpha 90.00
_cell_angle_beta 109.12
_cell_angle_gamma 90.00
_space_group_name_H-M_alt 'P 1 2/m 1'
_space_group_IT_number 10
loop_
_space_group_symop_operation_xyz
'x,y,z'
'-x,-y,-z'
'-x,y,-z'
'x,-y,z'
loop_
_atom_site_label
_atom_site_fract_x
_atom_site_fract_y
_atom_site_fract_z
Na1 0.000 0.000 0.000
Pr1 0.000 0.500 0.500
Pr2 0.500 0.000 0.500
Y1 0.500 0.500 0.000
Se1 0.252 0.500 0.242
Se2 0.256 0.000 0.764
```

---

(3)
This entry pairs a crystal structure of Na3Pr2YSe6 with its computed powder diffraction line list. Radiation: Cu Kα (weighted mean of Kα1 and Kα2). Structure: the PBE geometry in Alexandria.

Top 10 peaks for 2θ = 5–70°, in order of rising 2θ:
12.61°, I = 35; 24.49°, I = 15; 29.56°, I = 100; 38.61°, I = 9; 42.17°, I = 36; 42.42°, I = 37; 52.55°, I = 19; 61.35°, I = 12; 69.38°, I = 15; 69.74°, I = 16

Structural model:
```
data_Na3Pr2YSe6
_cell_length_a 7.381
_cell_length_b 12.787
_cell_length_c 7.438
_cell_angle_alpha 90.00
_cell_angle_beta 109.34
_cell_angle_gamma 90.00
_space_group_name_H-M_alt 'C 1 2/m 1'
_space_group_IT_number 12
loop_
_space_group_symop_operation_xyz
'x,y,z'
'-x,-y,-z'
'-x,y,-z'
'x,-y,z'
'x+1/2,y+1/2,z'
'-x+1/2,-y+1/2,-z'
'-x+1/2,y+1/2,-z'
'x+1/2,-y+1/2,z'
loop_
_atom_site_label
_atom_site_fract_x
_atom_site_fract_y
_atom_site_fract_z
Na1 0.000 0.000 0.000
Na2 0.000 0.333 0.000
Pr1 0.000 0.167 0.500
Y1 0.000 0.500 0.500
Se1 0.241 0.338 0.735
Se2 0.246 0.500 0.266
```

---

(4)
This entry pairs a crystal structure of NaPr2Sn9 with its computed powder diffraction line list. Radiation: Cu Kα (weighted mean of Kα1 and Kα2). Structure: the PBE geometry in Alexandria.

Top 10 peaks for 2θ = 5–70°, in order of rising 2θ:
6.05°, I = 6; 19.73°, I = 3; 32.48°, I = 100; 36.94°, I = 18; 38.05°, I = 33; 54.07°, I = 24; 54.90°, I = 12; 63.76°, I = 14; 65.25°, I = 28; 68.02°, I = 12

Structural model:
```
data_NaPr2Sn9
_cell_length_a 4.730
_cell_length_b 4.730
_cell_length_c 14.600
_cell_angle_alpha 90.00
_cell_angle_beta 90.00
_cell_angle_gamma 90.00
_space_group_name_H-M_alt 'P 4/m m m'
_space_group_IT_number 123
_space_group_name_Hall '-P 4 2'
loop_
_atom_site_label
_atom_site_fract_x
_atom_site_fract_y
_atom_site_fract_z
Na1 0.000 0.000 0.000
Pr1 0.000 0.000 0.337
Sn1 0.000 0.500 0.162
Sn2 0.000 0.500 0.500
Sn3 0.500 0.500 0.000
Sn4 0.500 0.500 0.328
```

---

(5)
This entry pairs a crystal structure of NaPr6Te8 with its computed powder diffraction line list. Radiation: Cu Kα (weighted mean of Kα1 and Kα2). Structure: the PBE geometry in Alexandria.

Top 10 peaks for 2θ = 5–70°, in order of rising 2θ:
13.86°, I = 10; 19.65°, I = 9; 27.92°, I = 100; 31.30°, I = 6; 34.37°, I = 4; 39.90°, I = 76; 42.43°, I = 3; 49.40°, I = 27; 57.70°, I = 13; 65.30°, I = 35

Structural model:
```
data_NaPr6Te8
_cell_length_a 12.781
_cell_length_b 12.781
_cell_length_c 12.781
_cell_angle_alpha 90.00
_cell_angle_beta 90.00
_cell_angle_gamma 90.00
_space_group_name_H-M_alt 'F m -3 m'
_space_group_IT_number 225
_space_group_name_Hall '-F 4 2 3'
loop_
_atom_site_label
_atom_site_fract_x
_atom_site_fract_y
_atom_site_fract_z
Na1 0.000 0.000 0.000
Pr1 0.000 0.250 0.250
Te1 0.000 0.000 0.254
Te2 0.250 0.250 0.250
```

---

(6)
This entry pairs a crystal structure of NaPrTl with its computed powder diffraction line list. Radiation: Cu Kα (weighted mean of Kα1 and Kα2). Structure: the PBE geometry in Alexandria.

Top 10 peaks for 2θ = 5–70°, in order of rising 2θ:
18.10°, I = 61; 27.01°, I = 37; 31.63°, I = 100; 32.71°, I = 52; 42.07°, I = 69; 46.14°, I = 20; 56.33°, I = 20; 57.02°, I = 21; 63.56°, I = 21; 65.48°, I = 25

Structural model:
```
data_NaPrTl
_cell_length_a 5.6578
_cell_length_b 5.6578
_cell_length_c 6.6016
_cell_angle_alpha 90.00
_cell_angle_beta 90.00
_cell_angle_gamma 120.00
_space_group_name_H-M_alt 'P 63/m m c'
_space_group_IT_number 194
_space_group_name_Hall '-P 6c 2c'
loop_
_atom_site_label
_atom_site_fract_x
_atom_site_fract_y
_atom_site_fract_z
Na1 0.0000 0.0000 0.0000
Pr1 0.3333 0.6667 0.2500
Tl1 0.3333 0.6667 0.7500
```

---

(7)
This entry pairs a crystal structure of NaPrTl3 with its computed powder diffraction line list. Radiation: Cu Kα (weighted mean of Kα1 and Kα2). Structure: the PBE geometry in Alexandria.

Top 10 peaks for 2θ = 5–70°, in order of rising 2θ:
16.47°, I = 16; 26.33°, I = 27; 29.60°, I = 59; 30.87°, I = 100; 34.38°, I = 31; 34.67°, I = 49; 35.26°, I = 81; 46.21°, I = 35; 59.78°, I = 16; 62.51°, I = 16

Structural model:
```
data_NaPrTl3
_cell_length_a 17.503
_cell_length_b 5.175
_cell_length_c 6.567
_cell_angle_alpha 90.00
_cell_angle_beta 93.00
_cell_angle_gamma 90.00
_space_group_name_H-M_alt 'C 1 2/m 1'
_space_group_IT_number 12
loop_
_space_group_symop_operation_xyz
'x,y,z'
'-x,-y,-z'
'-x,y,-z'
'x,-y,z'
'x+1/2,y+1/2,z'
'-x+1/2,-y+1/2,-z'
'-x+1/2,y+1/2,-z'
'x+1/2,-y+1/2,z'
loop_
_atom_site_label
_atom_site_fract_x
_atom_site_fract_y
_atom_site_fract_z
Na1 0.204 0.000 0.067
Pr1 0.088 0.500 0.688
Tl1 0.022 0.000 0.256
Tl2 0.120 0.500 0.184
Tl3 0.205 0.000 0.573
```

---

(8)
This entry pairs a crystal structure of NaPr3Tl5 with its computed powder diffraction line list. Radiation: Cu Kα (weighted mean of Kα1 and Kα2). Structure: the PBE geometry in Alexandria.

Top 10 peaks for 2θ = 5–70°, in order of rising 2θ:
10.67°, I = 15; 26.71°, I = 11; 31.55°, I = 18; 32.41°, I = 100; 32.72°, I = 91; 42.48°, I = 13; 46.72°, I = 31; 57.81°, I = 14; 58.00°, I = 28; 65.33°, I = 27

Structural model:
```
data_NaPr3Tl5
_cell_length_a 9.5699
_cell_length_b 9.5699
_cell_length_c 6.6745
_cell_angle_alpha 90.00
_cell_angle_beta 90.00
_cell_angle_gamma 120.00
_space_group_name_H-M_alt 'P 63/m c m'
_space_group_IT_number 193
_space_group_name_Hall '-P 6c 2'
loop_
_atom_site_label
_atom_site_fract_x
_atom_site_fract_y
_atom_site_fract_z
Na1 0.0000 0.0000 0.0000
Pr1 0.0000 0.3610 0.2500
Tl1 0.0000 0.3027 0.7500
Tl2 0.3333 0.6667 0.0000
```